[1]
Computed powder X-ray diffraction pattern of Ca2Ga2Hg for λ = 1.5418 Å (Cu Kα), from a structure optimized by DFT (PBE).

Main lines, by angle (2θ = 10–90°):
Position (°2θ)  I/Imax  h k l
12.34  73  0 0 2
20.02  54  0 1 1
24.28  50  1 0 0
31.67  100  1 1 1
36.40  54  1 1 3
36.77  88  0 1 5

Structure:
```
data_Ca2Ga2Hg
_space_group_name_H-M_alt 'A m m 2'
_space_group_IT_number 38
_space_group_name_Hall 'A 2 -2'
_cell_length_a 3.6654
_cell_length_b 4.6633
_cell_length_c 14.3506
_cell_angle_alpha 90.00
_cell_angle_beta 90.00
_cell_angle_gamma 90.00
loop_
_atom_site_label
_atom_site_type_symbol
_atom_site_fract_x
_atom_site_fract_y
_atom_site_fract_z
Ca1 Ca 0.0000 0.0000 0.0000
Ca2 Ca 0.0000 0.0000 0.2366
Ga1 Ga 0.5000 0.0000 0.6241
Ga2 Ga 0.5000 0.0000 0.8109
Hg1 Hg 0.5000 0.0000 0.4207
```

***

[2]
Computed powder X-ray diffraction pattern of KHo2Zr2O7 for λ = 1.5418 Å (Cu Kα), from a structure optimized by DFT (PBE).

Main lines, by angle (2θ = 10–90°):
Position (°2θ)  I/Imax  h k l
28.97  27  0 0 6
30.26  100  1 1 2
34.71  52  1 1 4
38.96  26  0 0 8
40.01  41  0 2 0
41.87  31  2 0 0

Structure:
```
data_KHo2Zr2O7
_space_group_name_H-M_alt 'I m m m'
_space_group_IT_number 71
_space_group_name_Hall '-I 2 2'
_cell_length_a 4.3153
_cell_length_b 4.5070
_cell_length_c 18.4946
_cell_angle_alpha 90.00
_cell_angle_beta 90.00
_cell_angle_gamma 90.00
loop_
_atom_site_label
_atom_site_type_symbol
_atom_site_fract_x
_atom_site_fract_y
_atom_site_fract_z
K1 K 0.0000 0.0000 0.0000
Ho1 Ho 0.0000 0.5000 0.2606
Zr1 Zr 0.0000 0.0000 0.3910
O1 O 0.0000 0.0000 0.2679
O2 O 0.0000 0.0000 0.5000
O3 O 0.0000 0.5000 0.1297
O4 O 0.0000 0.5000 0.3813
```

***

[3]
Computed powder X-ray diffraction pattern of La5NdDy3 for λ = 1.5418 Å (Cu Kα), from a structure optimized by DFT (PBE).

Main lines, by angle (2θ = 10–90°):
Position (°2θ)  I/Imax  h k l
28.92  31  2 2 0
30.89  60  5 1 -3
31.15  72  6 0 0
31.44  100  1 1 3
33.00  29  4 2 -1
34.19  18  4 2 0

Structure:
```
data_La5NdDy3
_space_group_name_H-M_alt 'C 1 2/c 1'
_space_group_IT_number 15
_space_group_name_Hall '-C 2yc'
_cell_length_a 19.0178
_cell_length_b 6.6125
_cell_length_c 11.4873
_cell_angle_alpha 90.00
_cell_angle_beta 115.04
_cell_angle_gamma 90.00
loop_
_atom_site_label
_atom_site_type_symbol
_atom_site_fract_x
_atom_site_fract_y
_atom_site_fract_z
La1 La 0.0000 0.0961 0.2500
La2 La 0.1685 0.1950 0.7129
La3 La 0.1701 0.3257 0.3606
Nd1 Nd 0.0000 0.3632 0.7500
Dy1 Dy 0.0000 0.5000 0.0000
Dy2 Dy 0.1604 0.2077 0.0145
```

***

[4]
Computed powder X-ray diffraction pattern of La3In8Cu3 for λ = 1.5418 Å (Cu Kα), from a structure optimized by DFT (PBE).

Main lines, by angle (2θ = 10–90°):
Position (°2θ)  I/Imax  h k l
32.00  76  1 1 2
32.17  100  5 1 -2
32.68  95  3 1 1
37.55  80  0 2 0
38.29  37  6 0 0
41.11  36  5 1 -4

Structure:
```
data_La3In8Cu3
_space_group_name_H-M_alt 'C 1 2/m 1'
_space_group_IT_number 12
_space_group_name_Hall '-C 2y'
_cell_length_a 17.2514
_cell_length_b 4.7907
_cell_length_c 10.0449
_cell_angle_alpha 90.00
_cell_angle_beta 125.16
_cell_angle_gamma 90.00
loop_
_atom_site_label
_atom_site_type_symbol
_atom_site_fract_x
_atom_site_fract_y
_atom_site_fract_z
La1 La 0.0000 0.0000 0.0000
La2 La 0.2079 0.5000 0.6978
In1 In 0.0042 0.5000 0.3275
In2 In 0.1425 0.0000 0.8501
In3 In 0.1491 0.0000 0.4262
In4 In 0.1489 0.5000 0.0381
Cu1 Cu 0.0000 0.0000 0.5000
Cu2 Cu 0.1557 0.5000 0.3062
```

***

[5]
Computed powder X-ray diffraction pattern of Li4CeGa4 for λ = 1.5418 Å (Cu Kα), from a structure optimized by DFT (PBE).

Main lines, by angle (2θ = 10–90°):
Position (°2θ)  I/Imax  h k l
17.76  60  1 0 1
28.73  64  1 1 2
31.70  100  2 0 1
32.70  64  1 0 3
35.22  77  2 1 1
47.63  62  2 2 2

Structure:
```
data_Li4CeGa4
_space_group_name_H-M_alt 'P 42/n m c'
_space_group_IT_number 137
_cell_length_a 5.9273
_cell_length_b 5.9273
_cell_length_c 9.2642
_cell_angle_alpha 90.00
_cell_angle_beta 90.00
_cell_angle_gamma 90.00
loop_
_space_group_symop_operation_xyz
'x,y,z'
'-x,-y,-z'
'-y+1/2,x,z+1/2'
'y+1/2,-x,-z+1/2'
'-x+1/2,-y+1/2,z'
'x+1/2,y+1/2,-z'
'y,-x+1/2,z+1/2'
'-y,x+1/2,-z+1/2'
'x+1/2,-y,-z'
'-x+1/2,y,z'
'-y,-x,-z+1/2'
'y,x,z+1/2'
'-x,y+1/2,-z'
'x,-y+1/2,z'
'y+1/2,x+1/2,-z+1/2'
'-y+1/2,-x+1/2,z+1/2'
loop_
_atom_site_label
_atom_site_type_symbol
_atom_site_fract_x
_atom_site_fract_y
_atom_site_fract_z
Li1 Li 0.0221 0.2500 0.1666
Ce1 Ce 0.2500 0.7500 0.2500
Ga1 Ga 0.0301 0.2500 0.4600
```

***

[6]
Computed powder X-ray diffraction pattern of Zr2Cu7 for λ = 1.5418 Å (Cu Kα), from a structure optimized by DFT (PBE).

Main lines, by angle (2θ = 10–90°):
Position (°2θ)  I/Imax  h k l
33.98  22  0 1 11
36.32  32  1 1 0
42.26  30  0 2 1
42.71  100  1 1 9
44.26  23  0 0 18
46.78  26  2 0 8

Structure:
```
data_Zr2Cu7
_space_group_name_H-M_alt 'R -3 m'
_space_group_IT_number 166
_space_group_name_Hall '-R 3 2"'
_cell_length_a 4.9466
_cell_length_b 4.9466
_cell_length_c 36.8377
_cell_angle_alpha 90.00
_cell_angle_beta 90.00
_cell_angle_gamma 120.00
loop_
_atom_site_label
_atom_site_type_symbol
_atom_site_fract_x
_atom_site_fract_y
_atom_site_fract_z
Zr1 Zr 0.0000 0.0000 0.0497
Zr2 Zr 0.0000 0.0000 0.1463
Cu1 Cu 0.0000 0.0000 0.2777
Cu2 Cu 0.0000 0.0000 0.3890
Cu3 Cu 0.0000 0.0000 0.5000
Cu4 Cu 0.0000 0.5000 0.0000
Cu5 Cu 0.0028 0.5014 0.8891
```

***

[7]
Computed powder X-ray diffraction pattern of NaSrPd10 for λ = 1.5418 Å (Cu Kα), from a structure optimized by DFT (PBE).

Main lines, by angle (2θ = 10–90°):
Position (°2θ)  I/Imax  h k l
19.03  57  0 0 2
38.61  27  0 0 4
39.08  100  1 2 0
40.45  37  2 0 0
43.81  70  1 2 2
83.96  26  2 4 0

Structure:
```
data_NaSrPd10
_space_group_name_H-M_alt 'P m m m'
_space_group_IT_number 47
_space_group_name_Hall '-P 2 2'
_cell_length_a 4.4603
_cell_length_b 5.3898
_cell_length_c 9.3201
_cell_angle_alpha 90.00
_cell_angle_beta 90.00
_cell_angle_gamma 90.00
loop_
_atom_site_label
_atom_site_type_symbol
_atom_site_fract_x
_atom_site_fract_y
_atom_site_fract_z
Na1 Na 0.0000 0.0000 0.0000
Sr1 Sr 0.0000 0.5000 0.5000
Pd1 Pd 0.0000 0.0000 0.3264
Pd2 Pd 0.0000 0.5000 0.1620
Pd3 Pd 0.5000 0.0000 0.5000
Pd4 Pd 0.5000 0.2499 0.2484
Pd5 Pd 0.5000 0.5000 0.0000
```